# Li4FeOF5
Calculated XRD peak list, CuKα. Input: the PBE+U geometry in Alexandria.
Peak positions follow from Bragg's law for the DFT cell and can differ from measured ones.

Cell and atoms:
Unit cell a=5.8212 b=10.0647 c=13.2920 alpha=90.00 beta=90.15 gamma=90.00
Space group Cm (No. 8)
Inequivalent atoms, fractional coordinates:
1 Li 0.0000 0.0000 0.0000 (multiplicity 2)
2 Li 0.9998 0.3384 0.6884 (multiplicity 4)
3 Li 0.0035 0.3371 0.3911 (multiplicity 4)
4 Li 0.1523 0.5000 0.8444 (multiplicity 2)
5 Li 0.1653 0.1671 0.5476 (multiplicity 4)
6 Li 0.1660 0.1708 0.8407 (multiplicity 4)
7 Li 0.4812 0.5000 0.6735 (multiplicity 2)
8 Li 0.4933 0.5000 0.3846 (multiplicity 2)
9 Fe 0.1658 0.1668 0.1935 (multiplicity 4)
10 Fe 0.1656 0.5000 0.1920 (multiplicity 2)
11 O 0.4991 0.1664 0.2049 (multiplicity 4)
12 O 0.4985 0.5000 0.2156 (multiplicity 2)
13 F 0.0407 0.0000 0.5220 (multiplicity 2)
14 F 0.1493 0.1504 0.0533 (multiplicity 4)
15 F 0.1573 0.1622 0.6903 (multiplicity 4)
16 F 0.1597 0.5000 0.3505 (multiplicity 2)
17 F 0.1670 0.5000 0.6960 (multiplicity 2)
18 F 0.1709 0.1710 0.3508 (multiplicity 4)
19 F 0.1985 0.5000 0.0518 (multiplicity 2)
20 F 0.4764 0.1881 0.5271 (multiplicity 4)
21 F 0.4941 0.1675 0.8423 (multiplicity 4)
22 F 0.4973 0.5000 0.8625 (multiplicity 2)

The 10 most intense peaks (15° ≤ 2θ ≤ 90°), by angle:
(0 0 3), 2θ 20.04, 4.431 Å, intensity 25; (1 3 0), 2θ 30.75, 2.908 Å, intensity 100; (2 0 1), 2θ 31.49, 2.841 Å, intensity 57; (1 3 -2), 2θ 33.64, 2.664 Å, intensity 56; (0 0 6), 2θ 40.73, 2.215 Å, intensity 36; (2 0 -6), 2θ 51.84, 1.764 Å, intensity 16; (1 3 6), 2θ 51.93, 1.761 Å, intensity 16; (3 3 0), 2θ 54.67, 1.679 Å, intensity 46; (1 3 -8), 2θ 64.53, 1.444 Å, intensity 11; (0 6 6), 2θ 70.42, 1.337 Å, intensity 19